No. 1
# CaCo2P2O8
Computed PXRD pattern, Cu Kα. Input: a DFT-relaxed cell (GGA+U, the Materials Project).
Kinematic intensities with the Lorentz-polarization factor, no thermal factor.

Cell and atoms:
a b c (Å): 9.004 9.004 16.932
angles (deg): 117.53 117.53 32.51
Element x y z (fractional)
Ca1 0.021 0.668 0.860
Ca2 0.332 0.979 0.640
Ca3 0.668 0.021 0.360
Ca4 0.979 0.332 0.140
Co1 0.000 0.500 0.000
Co2 0.110 0.705 0.542
Co3 0.134 0.866 0.750
Co4 0.295 0.890 0.958
Co5 0.500 0.000 0.500
Co6 0.705 0.110 0.042
Co7 0.866 0.134 0.250
Co8 0.890 0.295 0.458
P1 0.018 0.552 0.632
P2 0.272 0.694 0.391
P3 0.306 0.728 0.109
P4 0.448 0.982 0.868
P5 0.552 0.018 0.132
P6 0.694 0.272 0.891
P7 0.728 0.306 0.609
P8 0.982 0.448 0.368
O1 0.062 0.835 0.306
O2 0.107 0.450 0.714
O3 0.132 0.630 0.645
O4 0.133 0.707 0.040
O5 0.146 0.304 0.551
O6 0.151 0.687 0.430
O7 0.165 0.938 0.194
O8 0.196 0.305 0.896
O9 0.293 0.867 0.460
O10 0.304 0.146 0.051
O11 0.305 0.196 0.396
O12 0.313 0.849 0.070
O13 0.370 0.868 0.855
O14 0.384 0.570 0.871
O15 0.430 0.616 0.629
O16 0.450 0.107 0.214
O17 0.550 0.893 0.786
O18 0.570 0.384 0.371
O19 0.616 0.430 0.129
O20 0.630 0.132 0.145
O21 0.687 0.151 0.930
O22 0.695 0.804 0.604
O23 0.696 0.854 0.949
O24 0.707 0.133 0.540
O25 0.804 0.695 0.104
O26 0.835 0.062 0.806
O27 0.849 0.313 0.570
O28 0.854 0.696 0.449
O29 0.867 0.293 0.960
O30 0.868 0.370 0.355
O31 0.893 0.550 0.286
O32 0.938 0.165 0.694

Largest 12 diffraction maxima, sorted by position, 2θ = 10–80°:
2θ = 11.9°, I 88
2θ = 18.6°, I 77
2θ = 23.5°, I 25
2θ = 27.6°, I 100
2θ = 31.4°, I 42
2θ = 31.6°, I 79
2θ = 32.0°, I 43
2θ = 32.2°, I 40
2θ = 35.6°, I 61
2θ = 35.7°, I 58
2θ = 48.8°, I 24
2θ = 49.6°, I 26



No. 2
# SrPrCo2O6
Computed PXRD pattern, Cu Kα. Input: a DFT-relaxed cell (GGA+U, the Materials Project).
Kinematic intensities with the Lorentz-polarization factor, no thermal factor.

Cell and atoms:
a b c (Å): 5.552 5.489 9.306
angles (deg): 90.00 125.74 90.00
Element x y z (fractional)
Sr1 0.000 0.238 0.000
Sr2 0.000 0.762 0.500
Pr1 0.489 0.271 0.498
Pr2 0.489 0.729 0.998
Co1 0.248 0.248 0.749
Co2 0.248 0.752 0.249
Co3 0.748 0.246 0.249
Co4 0.748 0.754 0.749
O1 0.030 0.485 0.780
O2 0.030 0.515 0.280
O3 0.063 0.016 0.283
O4 0.063 0.984 0.783
O5 0.449 0.498 0.218
O6 0.449 0.502 0.718
O7 0.476 0.027 0.715
O8 0.476 0.973 0.215
O9 0.550 0.256 0.003
O10 0.550 0.744 0.503
O11 0.929 0.248 0.495
O12 0.929 0.752 0.995

Largest 12 diffraction maxima, sorted by position, 2θ = 10–80°:
2θ = 32.3°, I 50
2θ = 32.6°, I 49
2θ = 32.8°, I 100
2θ = 33.2°, I 95
2θ = 40.6°, I 29
2θ = 46.5°, I 65
2θ = 48.2°, I 29
2θ = 57.6°, I 21
2θ = 58.3°, I 38
2θ = 58.6°, I 18
2θ = 59.4°, I 19
2θ = 69.7°, I 18



Repeat the first record exactly.
# CaCo2P2O8
Computed PXRD pattern, Cu Kα. Input: a DFT-relaxed cell (GGA+U, the Materials Project).
Kinematic intensities with the Lorentz-polarization factor, no thermal factor.

Cell and atoms:
a b c (Å): 9.004 9.004 16.932
angles (deg): 117.53 117.53 32.51
Element x y z (fractional)
Ca1 0.021 0.668 0.860
Ca2 0.332 0.979 0.640
Ca3 0.668 0.021 0.360
Ca4 0.979 0.332 0.140
Co1 0.000 0.500 0.000
Co2 0.110 0.705 0.542
Co3 0.134 0.866 0.750
Co4 0.295 0.890 0.958
Co5 0.500 0.000 0.500
Co6 0.705 0.110 0.042
Co7 0.866 0.134 0.250
Co8 0.890 0.295 0.458
P1 0.018 0.552 0.632
P2 0.272 0.694 0.391
P3 0.306 0.728 0.109
P4 0.448 0.982 0.868
P5 0.552 0.018 0.132
P6 0.694 0.272 0.891
P7 0.728 0.306 0.609
P8 0.982 0.448 0.368
O1 0.062 0.835 0.306
O2 0.107 0.450 0.714
O3 0.132 0.630 0.645
O4 0.133 0.707 0.040
O5 0.146 0.304 0.551
O6 0.151 0.687 0.430
O7 0.165 0.938 0.194
O8 0.196 0.305 0.896
O9 0.293 0.867 0.460
O10 0.304 0.146 0.051
O11 0.305 0.196 0.396
O12 0.313 0.849 0.070
O13 0.370 0.868 0.855
O14 0.384 0.570 0.871
O15 0.430 0.616 0.629
O16 0.450 0.107 0.214
O17 0.550 0.893 0.786
O18 0.570 0.384 0.371
O19 0.616 0.430 0.129
O20 0.630 0.132 0.145
O21 0.687 0.151 0.930
O22 0.695 0.804 0.604
O23 0.696 0.854 0.949
O24 0.707 0.133 0.540
O25 0.804 0.695 0.104
O26 0.835 0.062 0.806
O27 0.849 0.313 0.570
O28 0.854 0.696 0.449
O29 0.867 0.293 0.960
O30 0.868 0.370 0.355
O31 0.893 0.550 0.286
O32 0.938 0.165 0.694

Largest 12 diffraction maxima, sorted by position, 2θ = 10–80°:
2θ = 11.9°, I 88
2θ = 18.6°, I 77
2θ = 23.5°, I 25
2θ = 27.6°, I 100
2θ = 31.4°, I 42
2θ = 31.6°, I 79
2θ = 32.0°, I 43
2θ = 32.2°, I 40
2θ = 35.6°, I 61
2θ = 35.7°, I 58
2θ = 48.8°, I 24
2θ = 49.6°, I 26



Please write out number 2 again, unchanged.
# SrPrCo2O6
Computed PXRD pattern, Cu Kα. Input: a DFT-relaxed cell (GGA+U, the Materials Project).
Kinematic intensities with the Lorentz-polarization factor, no thermal factor.

Cell and atoms:
a b c (Å): 5.552 5.489 9.306
angles (deg): 90.00 125.74 90.00
Element x y z (fractional)
Sr1 0.000 0.238 0.000
Sr2 0.000 0.762 0.500
Pr1 0.489 0.271 0.498
Pr2 0.489 0.729 0.998
Co1 0.248 0.248 0.749
Co2 0.248 0.752 0.249
Co3 0.748 0.246 0.249
Co4 0.748 0.754 0.749
O1 0.030 0.485 0.780
O2 0.030 0.515 0.280
O3 0.063 0.016 0.283
O4 0.063 0.984 0.783
O5 0.449 0.498 0.218
O6 0.449 0.502 0.718
O7 0.476 0.027 0.715
O8 0.476 0.973 0.215
O9 0.550 0.256 0.003
O10 0.550 0.744 0.503
O11 0.929 0.248 0.495
O12 0.929 0.752 0.995

Largest 12 diffraction maxima, sorted by position, 2θ = 10–80°:
2θ = 32.3°, I 50
2θ = 32.6°, I 49
2θ = 32.8°, I 100
2θ = 33.2°, I 95
2θ = 40.6°, I 29
2θ = 46.5°, I 65
2θ = 48.2°, I 29
2θ = 57.6°, I 21
2θ = 58.3°, I 38
2θ = 58.6°, I 18
2θ = 59.4°, I 19
2θ = 69.7°, I 18